Computed X-ray diffraction stick pattern
Compound: PaHg2TeO6
Radiation: CuKα
Structure: a crystal structure in Alexandria, relaxed with GGA-PBE
Lines closer than 0.1° are merged.

Main lines, by intensity (2θ from 10° to 90°):
28.87 deg, I 100; 30.05 deg, I 86; 42.16 deg, I 44; 52.64 deg, I 40; 53.37 deg, I 22; 50.41 deg, I 22; 68.38 deg, I 18; 70.25 deg, I 16; 59.81 deg, I 15; 62.47 deg, I 14

```
data_PaHg2TeO6
_symmetry_space_group_name_H-M 'P 1'
_symmetry_Int_Tables_number 1
_cell_length_a 6.1948
_cell_length_b 6.1948
_cell_length_c 6.1948
_cell_angle_alpha 57.37
_cell_angle_beta 57.37
_cell_angle_gamma 57.37
loop_
_symmetry_equiv_pos_as_xyz
'x,y,z'
loop_
_atom_site_label
_atom_site_type_symbol
_atom_site_fract_x
_atom_site_fract_y
_atom_site_fract_z
Pa1 Pa 0.0000 0.0000 0.0000
Hg1 Hg 0.2487 0.2487 0.2487
Hg2 Hg 0.7517 0.7517 0.7517
Te1 Te 0.5082 0.5082 0.5082
O1 O 0.1080 0.7753 0.3581
O2 O 0.2610 0.6770 0.7996
O3 O 0.3581 0.1080 0.7753
O4 O 0.6770 0.7996 0.2610
O5 O 0.7753 0.3581 0.1080
O6 O 0.7996 0.2610 0.6770
```